Entry 1:
For TbHfGe2, the GGA-PBE geometry in Alexandria gives the theoretical powder diffraction line list in this record (CuKα).

Largest 10 diffraction maxima, by angle, 15 to 90 degrees two-theta:
d [Å], Rel. int., hkl
3.358, 166, 1 1 1
3.225, 175, 0 0 2
2.796, 383, 0 4 1
2.667, 1000, 1 3 1
2.494, 647, 1 1 2
2.236, 268, 0 4 2
2.130, 191, 1 5 0
2.073, 334, 2 0 0
1.665, 166, 2 4 1
1.520, 159, 2 4 2

```
data_TbHfGe2
_chemical_formula_sum 'Tb4 Hf4 Ge8'
_cell_length_a 4.146
_cell_length_b 12.413
_cell_length_c 6.450
_cell_angle_alpha 90.00
_cell_angle_beta 90.00
_cell_angle_gamma 90.00
_space_group_name_H-M_alt 'C m c m'
_space_group_IT_number 63
_space_group_name_Hall '-C 2c 2'
loop_
_atom_site_label
_atom_site_type_symbol
_atom_site_fract_x
_atom_site_fract_y
_atom_site_fract_z
Tb1 Tb 0.000 0.052 0.250
Hf1 Hf 0.000 0.221 0.750
Ge1 Ge 0.000 0.386 0.045
```



Entry 2:
For Hf4Tc7Ge6, the GGA-PBE geometry in Alexandria gives the theoretical powder diffraction line list in this record (CuKα).

Largest 10 diffraction maxima, by angle, 15 to 90 degrees two-theta:
d [Å], Rel. int., hkl
2.908, 293, 2 2 0
2.374, 1000, 2 2 2
2.198, 138, 3 2 1
2.056, 611, 4 0 0
1.754, 97, 3 3 2
1.454, 342, 4 4 0
1.300, 95, 6 2 0
1.240, 289, 6 2 2
1.187, 100, 4 4 4
1.099, 82, 6 4 2

```
data_Hf4Tc7Ge6
_chemical_formula_sum 'Hf8 Tc14 Ge12'
_cell_length_a 8.225
_cell_length_b 8.225
_cell_length_c 8.225
_cell_angle_alpha 90.00
_cell_angle_beta 90.00
_cell_angle_gamma 90.00
_space_group_name_H-M_alt 'I m -3 m'
_space_group_IT_number 229
_space_group_name_Hall '-I 4 2 3'
loop_
_atom_site_label
_atom_site_type_symbol
_atom_site_fract_x
_atom_site_fract_y
_atom_site_fract_z
Hf1 Hf 0.250 0.250 0.250
Tc1 Tc 0.000 0.000 0.000
Tc2 Tc 0.000 0.250 0.500
Ge1 Ge 0.000 0.000 0.305
```



Entry 3:
For HfTcGe4, the GGA-PBE geometry in Alexandria gives the theoretical powder diffraction line list in this record (CuKα).

Largest 10 diffraction maxima, by angle, 15 to 90 degrees two-theta:
d [Å], Rel. int., hkl
4.393, 474, 0 1 1
3.107, 270, 0 0 2
2.779, 576, 0 1 2
2.378, 1000, 2 1 -1
2.197, 245, 0 2 2
2.091, 596, 2 2 0
1.982, 385, 2 1 2
1.965, 777, 0 3 1
1.362, 279, 2 0 -4
1.300, 275, 2 3 3

```
data_HfTcGe4
_chemical_formula_sum 'Hf2 Tc2 Ge8'
_cell_length_a 5.656
_cell_length_b 6.218
_cell_length_c 6.208
_cell_angle_alpha 90.00
_cell_angle_beta 90.06
_cell_angle_gamma 90.00
_space_group_name_H-M_alt 'P 1 21/c 1'
_space_group_IT_number 14
_space_group_name_Hall '-P 2ybc'
loop_
_atom_site_label
_atom_site_type_symbol
_atom_site_fract_x
_atom_site_fract_y
_atom_site_fract_z
Hf1 Hf 0.000 0.000 0.000
Tc1 Tc 0.500 0.000 0.000
Ge1 Ge 0.276 0.147 0.647
Ge2 Ge 0.276 0.648 0.853
```